Entry 1:
Structure and calculated XRD peak list of Ir4Pt5Rh4 (a DFT-relaxed cell (PBE, Alexandria); Cu Kα (weighted mean of Kα1 and Kα2)).
Kinematic intensities with the Lorentz-polarization factor, no thermal factor.

Atomic structure:
Unit cell a=7.3043 b=7.3043 c=7.3043 alpha=94.07 beta=94.07 gamma=149.10
Sites, in units of the cell vectors:
Ir (0.0741, 0.3865, 0.4606)
Ir (0.3865, 0.9259, 0.3125)
Ir (0.6135, 0.0741, 0.6875)
Ir (0.9259, 0.6135, 0.5394)
Pt (0.0000, 0.0000, 0.0000)
Pt (0.3038, 0.5360, 0.8399)
Pt (0.4640, 0.3038, 0.7678)
Pt (0.5360, 0.6962, 0.2322)
Pt (0.6962, 0.4640, 0.1601)
Rh (0.1565, 0.7657, 0.9222)
Rh (0.2343, 0.1565, 0.3908)
Rh (0.7657, 0.8435, 0.6092)
Rh (0.8435, 0.2343, 0.0778)

Top 8 peaks for 2θ from 10° to 90°, by angle:
two_theta, d [Å], I (rel.)
40.04, 2.252, 100
46.51, 1.953, 33
46.68, 1.946, 16
67.88, 1.381, 11
68.02, 1.378, 21
81.83, 1.177, 25
82.08, 1.174, 13
86.41, 1.126, 11

=====

Entry 2:
Structure and calculated XRD peak list of Pu5Hg4Pb (a DFT-relaxed cell (PBE, Alexandria); Cu Kα (weighted mean of Kα1 and Kα2)).
Kinematic intensities with the Lorentz-polarization factor, no thermal factor.

Atomic structure:
Unit cell a=4.0442 b=4.0442 c=16.2540 alpha=90.00 beta=90.00 gamma=90.00
Sites, in units of the cell vectors:
Pu (0.0000, 0.0000, 0.0000)
Pu (0.0000, 0.0000, 0.1996)
Pu (0.0000, 0.0000, 0.3988)
Pu (0.0000, 0.0000, 0.6012)
Pu (0.0000, 0.0000, 0.8004)
Hg (0.5000, 0.5000, 0.0990)
Hg (0.5000, 0.5000, 0.2977)
Hg (0.5000, 0.5000, 0.7023)
Hg (0.5000, 0.5000, 0.9010)
Pb (0.5000, 0.5000, 0.5000)

Top 8 peaks for 2θ from 10° to 90°, by angle:
two_theta, d [Å], I (rel.)
31.28, 2.860, 69
35.43, 2.534, 100
44.82, 2.022, 26
58.39, 1.580, 49
66.13, 1.413, 17
74.14, 1.279, 12
74.97, 1.267, 12
76.50, 1.245, 11

=====

Entry 3:
Structure and calculated XRD peak list of K3Co2Cl9 (a DFT-relaxed cell (PBE, Alexandria); Cu Kα (weighted mean of Kα1 and Kα2)).
Kinematic intensities with the Lorentz-polarization factor, no thermal factor.

Atomic structure:
Unit cell a=9.3920 b=9.3920 c=9.3920 alpha=75.47 beta=75.47 gamma=75.47
Sites, in units of the cell vectors:
K (0.0920, 0.7500, 0.4080)
K (0.2500, 0.5920, 0.9080)
K (0.4080, 0.0920, 0.7500)
K (0.5920, 0.9080, 0.2500)
K (0.7500, 0.4080, 0.0920)
K (0.9080, 0.2500, 0.5920)
Co (0.1765, 0.1765, 0.1765)
Co (0.3235, 0.3235, 0.3235)
Co (0.6765, 0.6765, 0.6765)
Co (0.8235, 0.8235, 0.8235)
Cl (0.0483, 0.8845, 0.7238)
Cl (0.0972, 0.4028, 0.2500)
Cl (0.1155, 0.2762, 0.9517)
Cl (0.2238, 0.3845, 0.5483)
Cl (0.2500, 0.0972, 0.4028)
Cl (0.2762, 0.9517, 0.1155)
Cl (0.3845, 0.5483, 0.2238)
Cl (0.4028, 0.2500, 0.0972)
Cl (0.4517, 0.7762, 0.6155)
Cl (0.5483, 0.2238, 0.3845)
Cl (0.5972, 0.7500, 0.9028)
Cl (0.6155, 0.4517, 0.7762)
Cl (0.7238, 0.0483, 0.8845)
Cl (0.7500, 0.9028, 0.5972)
Cl (0.7762, 0.6155, 0.4517)
Cl (0.8845, 0.7238, 0.0483)
Cl (0.9028, 0.5972, 0.7500)
Cl (0.9517, 0.1155, 0.2762)

Top 8 peaks for 2θ from 10° to 90°, by angle:
two_theta, d [Å], I (rel.)
12.57, 7.044, 83
15.42, 5.748, 57
19.93, 4.455, 34
26.85, 3.320, 26
31.10, 2.876, 23
33.99, 2.638, 100
41.55, 2.174, 36
55.37, 1.659, 28

=====

Entry 4:
Structure and calculated XRD peak list of H3PdPt (a DFT-relaxed cell (PBE, Alexandria); Cu Kα (weighted mean of Kα1 and Kα2)).
Kinematic intensities with the Lorentz-polarization factor, no thermal factor.

Atomic structure:
Unit cell a=2.7915 b=5.1986 c=6.9453 alpha=90.00 beta=101.73 gamma=90.00
Sites, in units of the cell vectors:
H (0.1416, 0.0679, 0.2808)
H (0.1416, 0.4321, 0.2808)
H (0.3129, 0.2500, 0.6300)
H (0.6871, 0.7500, 0.3700)
H (0.8584, 0.5679, 0.7192)
H (0.8584, 0.9321, 0.7192)
Pd (0.4213, 0.7500, 0.8435)
Pd (0.5787, 0.2500, 0.1565)
Pt (0.1086, 0.7500, 0.2152)
Pt (0.8914, 0.2500, 0.7848)

Top 8 peaks for 2θ from 10° to 90°, by angle:
two_theta, d [Å], I (rel.)
13.02, 6.800, 56
21.52, 4.130, 32
26.21, 3.400, 53
34.51, 2.599, 49
37.15, 2.420, 51
41.78, 2.162, 100
43.84, 2.065, 26
66.81, 1.400, 25